1.
Structure and simulated powder X-ray diffraction pattern of LiP5 (a structure optimized by DFT (PBE); Cu Kα (weighted mean of Kα1 and Kα2)).
Peak positions follow from Bragg's law for the DFT cell and can differ from measured ones.

Cell and atoms:
```
data_LiP5
_chemical_formula_sum 'Li4 P20'
_symmetry_space_group_name_H-M 'P n a 21'
_symmetry_Int_Tables_number 33
_cell_length_a 9.5121
_cell_length_b 8.0789
_cell_length_c 6.1267
_cell_angle_alpha 90.00
_cell_angle_beta 90.00
_cell_angle_gamma 90.00
loop_
_symmetry_equiv_pos_as_xyz
'x,y,z'
'-x,-y,z+1/2'
'-x+1/2,y+1/2,z+1/2'
'x+1/2,-y+1/2,z'
loop_
_atom_site_label
_atom_site_fract_x
_atom_site_fract_y
_atom_site_fract_z
Li1 0.1363 0.1316 0.0000
P1 0.0442 0.8581 0.8366
P2 0.1028 0.4458 0.0465
P3 0.1139 0.5092 0.4079
P4 0.1151 0.2519 0.5545
P5 0.1996 0.6581 0.8633
```

Main lines, in order of rising 2θ (2θ from 10° to 80°):
- 14.38°, intensity 59, hkl 1 1 0
- 18.17°, intensity 100, hkl 0 1 1
- 29.15°, intensity 23, hkl 0 0 2
- 30.28°, intensity 23, hkl 3 1 0
- 32.55°, intensity 29, hkl 2 2 1
- 33.71°, intensity 23, hkl 3 1 1
- 36.44°, intensity 18, hkl 0 3 1
- 36.62°, intensity 45, hkl 2 1 2
- 51.36°, intensity 19, hkl 2 4 1
- 53.87°, intensity 24, hkl 2 2 3


2.
Structure and simulated powder X-ray diffraction pattern of CaSi3Ir (a structure optimized by DFT (PBE); Cu Kα (weighted mean of Kα1 and Kα2)).
Peak positions follow from Bragg's law for the DFT cell and can differ from measured ones.

Cell and atoms:
```
data_CaSi3Ir
_chemical_formula_sum 'Ca2 Si6 Ir2'
_symmetry_space_group_name_H-M 'I 4 m m'
_symmetry_Int_Tables_number 107
_symmetry_space_group_name_Hall 'I 4 -2'
_cell_length_a 4.2065
_cell_length_b 4.2065
_cell_length_c 9.9565
_cell_angle_alpha 90.00
_cell_angle_beta 90.00
_cell_angle_gamma 90.00
loop_
_atom_site_label
_atom_site_fract_x
_atom_site_fract_y
_atom_site_fract_z
Ca1 0.0000 0.0000 0.0000
Si1 0.0000 0.0000 0.4088
Si2 0.0000 0.5000 0.2595
Ir1 0.0000 0.0000 0.6467
```

Main lines, in order of rising 2θ (2θ from 10° to 80°):
- 17.82°, intensity 40, hkl 0 0 2
- 22.95°, intensity 100, hkl 1 0 1
- 30.04°, intensity 39, hkl 1 1 0
- 34.42°, intensity 68, hkl 1 0 3
- 35.15°, intensity 38, hkl 1 1 2
- 43.00°, intensity 36, hkl 2 0 0
- 47.64°, intensity 30, hkl 1 1 4
- 49.30°, intensity 27, hkl 2 1 1
- 50.72°, intensity 21, hkl 1 0 5
- 56.21°, intensity 33, hkl 2 1 3